# 1
For LiHo2TaN4, a PBE-relaxed structure gives the calculated powder XRD pattern in this record (Cu Ka).

Structural model:
a b c (Å): 6.6401 9.5037 6.6688
angles (deg): 90.00 90.00 90.00
Space group Fmm2 (No. 42)
Inequivalent atoms, fractional coordinates:
Li: 0.0000 0.0000 0.0000
Ho: 0.2500 0.2500 0.2406
Ta: 0.0000 0.0000 0.4492
N: 0.0000 0.2169 0.4977
N: 0.2282 0.0000 0.2634

Main lines, low angle first (10° ≤ 2θ ≤ 90°):
| two_theta | d_spacing | intensity | hkl |
| --- | --- | --- | --- |
| 18.7 | 4.752 | 9.7 | 0 2 0 |
| 21.1 | 4.217 | 48.9 | 1 1 1 |
| 32.9 | 2.725 | 100.0 | 2 2 0 |
| 34.1 | 2.628 | 11.4 | 1 3 1 |
| 37.9 | 2.376 | 25.7 | 0 4 0 |
| 38.3 | 2.353 | 48.0 | 2 0 2 |
| 54.9 | 1.672 | 32.1 | 2 4 2 |
| 65.2 | 1.430 | 15.7 | 2 6 0 |
| 65.7 | 1.422 | 12.0 | 2 2 4 |
| 65.9 | 1.418 | 14.3 | 4 2 2 |


# 2
For ErGa3CuRh, a PBE-relaxed structure gives the calculated powder XRD pattern in this record (Cu Ka).

Structural model:
a b c (Å): 6.0075 12.3056 5.7417
angles (deg): 90.00 90.00 90.00
Space group Cmcm (No. 63)
Inequivalent atoms, fractional coordinates:
Er: 0.0000 0.2130 0.2500
Ga: 0.0000 0.3501 0.7500
Ga: 0.2095 0.0000 0.0000
Cu: 0.0000 0.4312 0.2500
Rh: 0.0000 0.1464 0.7500

Main lines, low angle first (10° ≤ 2θ ≤ 90°):
| two_theta | d_spacing | intensity | hkl |
| --- | --- | --- | --- |
| 29.7 | 3.004 | 39.7 | 2 0 0 |
| 30.6 | 2.918 | 26.7 | 1 3 1 |
| 31.2 | 2.871 | 30.7 | 0 0 2 |
| 33.0 | 2.712 | 26.7 | 0 4 1 |
| 33.2 | 2.699 | 57.8 | 2 2 0 |
| 34.5 | 2.602 | 59.4 | 0 2 2 |
| 41.2 | 2.190 | 29.0 | 1 3 2 |
| 42.7 | 2.117 | 65.6 | 1 5 1 |
| 43.6 | 2.075 | 100.0 | 2 0 2 |
| 45.0 | 2.013 | 22.4 | 2 4 1 |


# 3
For K2IF7, a PBE-relaxed structure gives the calculated powder XRD pattern in this record (Cu Ka).

Structural model:
a b c (Å): 13.9606 7.0293 9.7295
angles (deg): 90.00 128.79 90.00
Space group C2/c (No. 15)
Inequivalent atoms, fractional coordinates:
K: 0.1897 0.0767 0.2852
I: 0.0000 0.3821 0.7500
F: 0.0000 0.0903 0.7500
F: 0.0972 0.3290 0.0123
F: 0.1196 0.3779 0.3688
F: 0.1453 0.3098 0.7566

Main lines, low angle first (10° ≤ 2θ ≤ 90°):
| two_theta | d_spacing | intensity | hkl |
| --- | --- | --- | --- |
| 15.0 | 5.904 | 100.0 | 1 1 0 |
| 15.6 | 5.690 | 79.9 | 1 1 -1 |
| 16.3 | 5.441 | 38.2 | 2 0 0 |
| 18.3 | 4.845 | 59.8 | 2 0 -2 |
| 23.2 | 3.833 | 75.7 | 3 1 -1 |
| 23.5 | 3.792 | 99.3 | 0 0 2 |
| 24.3 | 3.659 | 90.7 | 3 1 -2 |
| 28.0 | 3.189 | 70.3 | 0 2 1 |
| 39.5 | 2.284 | 49.8 | 6 0 -2 |
| 43.4 | 2.084 | 59.1 | 3 3 -1 |


# 4
For Rb3NaS2, a PBE-relaxed structure gives the calculated powder XRD pattern in this record (Cu Ka).

Structural model:
a b c (Å): 7.8206 15.2848 6.8907
angles (deg): 90.00 90.00 90.00
Space group Ibam (No. 72)
Inequivalent atoms, fractional coordinates:
Rb: 0.0000 0.0000 0.2500
Rb: 0.1845 0.3162 0.0000
Na: 0.0000 0.5000 0.2500
S: 0.2103 0.3923 0.5000

Main lines, low angle first (10° ≤ 2θ ≤ 90°):
| two_theta | d_spacing | intensity | hkl |
| --- | --- | --- | --- |
| 20.8 | 4.272 | 77.6 | 1 3 0 |
| 25.6 | 3.481 | 63.3 | 2 2 0 |
| 26.9 | 3.320 | 32.4 | 2 1 1 |
| 28.4 | 3.141 | 69.9 | 0 2 2 |
| 28.9 | 3.088 | 31.1 | 1 1 2 |
| 29.1 | 3.073 | 100.0 | 1 4 1 |
| 32.8 | 2.733 | 32.2 | 2 4 0 |
| 34.7 | 2.585 | 73.8 | 2 0 2 |
| 35.1 | 2.559 | 30.4 | 0 4 2 |
| 47.2 | 1.925 | 41.0 | 3 3 2 |


Repeat the third record exactly.
For K2IF7, a PBE-relaxed structure gives the calculated powder XRD pattern in this record (Cu Ka).

Structural model:
a b c (Å): 13.9606 7.0293 9.7295
angles (deg): 90.00 128.79 90.00
Space group C2/c (No. 15)
Inequivalent atoms, fractional coordinates:
K: 0.1897 0.0767 0.2852
I: 0.0000 0.3821 0.7500
F: 0.0000 0.0903 0.7500
F: 0.0972 0.3290 0.0123
F: 0.1196 0.3779 0.3688
F: 0.1453 0.3098 0.7566

Main lines, low angle first (10° ≤ 2θ ≤ 90°):
| two_theta | d_spacing | intensity | hkl |
| --- | --- | --- | --- |
| 15.0 | 5.904 | 100.0 | 1 1 0 |
| 15.6 | 5.690 | 79.9 | 1 1 -1 |
| 16.3 | 5.441 | 38.2 | 2 0 0 |
| 18.3 | 4.845 | 59.8 | 2 0 -2 |
| 23.2 | 3.833 | 75.7 | 3 1 -1 |
| 23.5 | 3.792 | 99.3 | 0 0 2 |
| 24.3 | 3.659 | 90.7 | 3 1 -2 |
| 28.0 | 3.189 | 70.3 | 0 2 1 |
| 39.5 | 2.284 | 49.8 | 6 0 -2 |
| 43.4 | 2.084 | 59.1 | 3 3 -1 |